For MgFe2Si2SbO9, a structure optimized by DFT (PBE+U) gives the calculated X-ray diffraction stick pattern in this record (copper Kα).

Atomic structure:
Cell lengths 5.239, 5.329, 8.090 Å; angles 78.71, 77.61, 61.22 degrees
Space group P1 (No. 1)
Unique sites:
Mg1 0.000 0.000 0.000 (multiplicity 1)
Fe1 0.095 0.090 0.657 (multiplicity 1)
Fe2 0.768 0.704 0.689 (multiplicity 1)
Si1 0.515 0.767 0.335 (multiplicity 1)
Si2 0.836 0.105 0.348 (multiplicity 1)
Sb1 0.332 0.365 0.958 (multiplicity 1)
O1 0.035 0.731 0.844 (multiplicity 1)
O2 0.065 0.460 0.547 (multiplicity 1)
O3 0.191 0.946 0.255 (multiplicity 1)
O4 0.357 0.035 0.862 (multiplicity 1)
O5 0.461 0.774 0.536 (multiplicity 1)
O6 0.697 0.446 0.265 (multiplicity 1)
O7 0.710 0.952 0.240 (multiplicity 1)
O8 0.720 0.357 0.861 (multiplicity 1)
O9 0.779 0.064 0.550 (multiplicity 1)

Main lines, in order of rising 2θ (10 to 80 degrees two-theta):
d (Å)	I (rel.)	h k l
7.855	918	0 0 1
4.200	713	0 1 1
3.716	773	1 0 -1
3.508	827	1 1 -1
3.360	553	1 1 2
3.202	693	1 0 2
3.172	358	0 1 2
2.690	351	1 -1 0
2.618	508	0 0 3
2.606	1000	2 1 1